Simulated X-ray diffraction stick pattern of SiBr3 for Cu Kα X-rays, from a GGA-PBE-relaxed structure.

Structural model:
Cell lengths 6.9030, 11.9015, 7.8397 Å; angles 90.00, 108.40, 90.00 degrees
Space group C2/m (No. 12)
Asymmetric unit:
Si 0.0464 0.0000 0.1591
Br 0.2301 0.1527 0.2659
Br 0.2350 0.0000 0.7605

Largest 10 diffraction maxima, low angle first, 2θ = 10–90°:
hkl 1 1 0, d = 5.739 Å, 15.44 deg, I = 20.6; hkl 0 0 2, d = 3.720 Å, 23.92 deg, I = 97.5; hkl 1 3 -1, d = 3.298 Å, 27.04 deg, I = 100.0; hkl 2 0 0, d = 3.275 Å, 27.23 deg, I = 50.0; hkl 2 0 -2, d = 2.966 Å, 30.13 deg, I = 43.8; hkl 1 3 1, d = 2.913 Å, 30.69 deg, I = 97.1; hkl 1 3 -3, d = 2.178 Å, 41.46 deg, I = 32.7; hkl 3 3 -1, d = 1.990 Å, 45.58 deg, I = 31.0; hkl 1 3 3, d = 1.862 Å, 48.92 deg, I = 38.5; hkl 3 3 1, d = 1.740 Å, 52.59 deg, I = 20.8


Simulated X-ray diffraction stick pattern of AsRhO4 for Cu Kα X-rays, from a GGA-PBE-relaxed structure.

Structural model:
Cell lengths 6.4529, 6.4529, 6.0554 Å; angles 90.00, 90.00, 90.00 degrees
Space group I4_1md (No. 109)
Asymmetric unit:
As 0.0000 0.0000 0.0000
Rh 0.0000 0.0000 0.4899
O 0.0000 0.3085 0.0112
O 0.0000 0.3112 0.4808

Largest 10 diffraction maxima, low angle first, 2θ = 10–90°:
hkl 2 0 0, d = 3.226 Å, 27.65 deg, I = 100.0; hkl 1 1 2, d = 2.523 Å, 35.59 deg, I = 69.1; hkl 2 2 0, d = 2.281 Å, 39.50 deg, I = 18.9; hkl 3 1 2, d = 1.692 Å, 54.21 deg, I = 62.6; hkl 4 0 0, d = 1.613 Å, 57.09 deg, I = 15.4; hkl 4 2 0, d = 1.443 Å, 64.59 deg, I = 12.9; hkl 2 0 4, d = 1.370 Å, 68.46 deg, I = 13.8; hkl 3 3 2, d = 1.359 Å, 69.11 deg, I = 19.6; hkl 5 1 2, d = 1.168 Å, 82.64 deg, I = 10.9; hkl 4 0 4, d = 1.104 Å, 88.59 deg, I = 8.3


Simulated X-ray diffraction stick pattern of Ce3Th4O14 for Cu Kα X-rays, from a GGA-PBE-relaxed structure.

Structural model:
Cell lengths 12.4250, 5.5588, 8.7892 Å; angles 90.00, 98.12, 90.00 degrees
Space group C2/m (No. 12)
Asymmetric unit:
Ce 0.0000 0.0000 0.0000
Ce 0.0709 0.5000 0.7148
Th 0.1419 0.0000 0.4281
Th 0.2140 0.5000 0.1418
O 0.0000 0.2551 0.5000
O 0.0694 0.2498 0.2129
O 0.1410 0.2497 0.9277
O 0.2130 0.2524 0.6439

Largest 10 diffraction maxima, low angle first, 2θ = 10–90°:
hkl 1 1 -1, d = 4.493 Å, 19.76 deg, I = 2.2; hkl 1 1 2, d = 3.209 Å, 27.80 deg, I = 100.0; hkl 4 0 1, d = 2.779 Å, 32.21 deg, I = 34.3; hkl 4 2 1, d = 1.965 Å, 46.20 deg, I = 51.7; hkl 7 1 0, d = 1.676 Å, 54.78 deg, I = 46.8; hkl 2 2 4, d = 1.604 Å, 57.43 deg, I = 10.0; hkl 8 0 2, d = 1.390 Å, 67.39 deg, I = 8.1; hkl 7 3 0, d = 1.275 Å, 74.40 deg, I = 19.1; hkl 8 2 2, d = 1.243 Å, 76.67 deg, I = 13.6; hkl 6 2 5, d = 1.135 Å, 85.61 deg, I = 16.9


Simulated X-ray diffraction stick pattern of Y4ZnGa3 for Cu Kα X-rays, from a GGA-PBE-relaxed structure.

Structural model:
Cell lengths 4.1005, 4.2950, 21.9440 Å; angles 90.00, 90.00, 90.00 degrees
Space group Imm2 (No. 44)
Asymmetric unit:
Y 0.0000 0.0000 0.0000
Y 0.0000 0.0000 0.3922
Y 0.0000 0.5000 0.1431
Y 0.0000 0.5000 0.7516
Zn 0.0000 0.0000 0.5348
Ga 0.0000 0.0000 0.8588
Ga 0.0000 0.5000 0.2847
Ga 0.0000 0.5000 0.6103

Largest 10 diffraction maxima, low angle first, 2θ = 10–90°:
hkl 0 1 5, d = 3.070 Å, 29.09 deg, I = 10.6; hkl 1 0 5, d = 2.996 Å, 29.82 deg, I = 10.6; hkl 1 1 2, d = 2.863 Å, 31.24 deg, I = 100.0; hkl 0 0 8, d = 2.743 Å, 32.65 deg, I = 22.7; hkl 0 1 7, d = 2.532 Å, 35.45 deg, I = 20.9; hkl 1 0 7, d = 2.490 Å, 36.06 deg, I = 18.4; hkl 1 1 6, d = 2.304 Å, 39.10 deg, I = 63.9; hkl 0 2 0, d = 2.148 Å, 42.08 deg, I = 27.1; hkl 2 0 0, d = 2.050 Å, 44.17 deg, I = 23.5; hkl 2 2 0, d = 1.483 Å, 62.65 deg, I = 16.0


Simulated X-ray diffraction stick pattern of MgV2S4 for Cu Kα X-rays, from a GGA-PBE-relaxed structure.

Structural model:
Cell lengths 3.2375, 3.2409, 16.7193 Å; angles 92.39, 91.49, 119.93 degrees
Space group P-1 (No. 2)
Asymmetric unit:
Mg 0.0000 0.0000 0.0000
V 0.2533 0.5069 0.7558
S 0.0538 0.1313 0.1565
S 0.4440 0.8624 0.3306

Largest 10 diffraction maxima, low angle first, 2θ = 10–90°:
hkl 0 0 2, d = 8.340 Å, 10.61 deg, I = 100.0; hkl -1 1 1, d = 2.762 Å, 32.42 deg, I = 6.4; hkl 1 0 1, d = 2.739 Å, 32.70 deg, I = 7.8; hkl 0 1 -2, d = 2.709 Å, 33.06 deg, I = 9.6; hkl -1 1 3, d = 2.495 Å, 36.00 deg, I = 9.1; hkl 1 0 3, d = 2.449 Å, 36.69 deg, I = 9.3; hkl 0 1 -4, d = 2.398 Å, 37.51 deg, I = 9.0; hkl -1 1 5, d = 2.137 Å, 42.29 deg, I = 7.7; hkl 1 0 5, d = 2.090 Å, 43.28 deg, I = 6.3; hkl 2 -1 0, d = 1.619 Å, 56.85 deg, I = 7.7


Simulated X-ray diffraction stick pattern of TiAs2 for Cu Kα X-rays, from a GGA-PBE-relaxed structure.

Structural model:
Cell lengths 8.9778, 13.3141, 3.5160 Å; angles 90.00, 90.00, 90.00 degrees
Space group Pnnm (No. 58)
Asymmetric unit:
Ti 0.0181 0.2465 0.0000
Ti 0.1725 0.9928 0.0000
As 0.0115 0.0998 0.5000
As 0.1142 0.4410 0.0000
As 0.1649 0.6615 0.5000
As 0.2250 0.3014 0.5000

Largest 10 diffraction maxima, low angle first, 2θ = 10–90°:
hkl 3 1 0, d = 2.920 Å, 30.62 deg, I = 25.7; hkl 0 3 1, d = 2.756 Å, 32.49 deg, I = 22.4; hkl 2 1 1, d = 2.710 Å, 33.05 deg, I = 73.0; hkl 2 2 1, d = 2.555 Å, 35.12 deg, I = 44.9; hkl 3 3 0, d = 2.481 Å, 36.20 deg, I = 36.7; hkl 1 4 1, d = 2.334 Å, 38.57 deg, I = 58.8; hkl 3 2 1, d = 2.156 Å, 41.91 deg, I = 100.0; hkl 0 5 1, d = 2.123 Å, 42.59 deg, I = 58.6; hkl 2 6 0, d = 1.989 Å, 45.60 deg, I = 33.2; hkl 0 0 2, d = 1.758 Å, 52.02 deg, I = 40.2


Simulated X-ray diffraction stick pattern of Na6Cd7S10 for Cu Kα X-rays, from a GGA-PBE-relaxed structure.

Structural model:
Cell lengths 26.7076, 4.2251, 10.5053 Å; angles 90.00, 107.89, 90.00 degrees
Space group Cm (No. 8)
Asymmetric unit:
Na 0.0000 0.0000 0.0000
Na 0.0178 0.0000 0.3893
Na 0.1205 0.0000 0.9234
Na 0.2098 0.5000 0.7724
Na 0.3004 0.0000 0.5914
Na 0.3871 0.5000 0.4511
Cd 0.0660 0.5000 0.6682
Cd 0.1256 0.5000 0.1655
Cd 0.1679 0.0000 0.4732
Cd 0.2570 0.0000 0.1049
Cd 0.3508 0.5000 0.9181
Cd 0.3990 0.0000 0.2299
Cd 0.4499 0.0000 0.7191
S 0.0430 0.5000 0.8950
S 0.0928 0.0000 0.2451
S 0.1192 0.0000 0.6579
S 0.1939 0.5000 0.0428
S 0.2229 0.5000 0.5182
S 0.2927 0.0000 0.8932
S 0.3252 0.0000 0.3271
S 0.3947 0.5000 0.7273
S 0.4285 0.5000 0.1386
S 0.4733 0.0000 0.4946

Largest 10 diffraction maxima, low angle first, 2θ = 10–90°:
hkl 2 0 1, d = 6.895 Å, 12.84 deg, I = 71.5; hkl 4 0 -1, d = 6.330 Å, 13.99 deg, I = 84.0; hkl 2 0 2, d = 4.230 Å, 21.00 deg, I = 62.0; hkl 6 0 -2, d = 3.871 Å, 22.97 deg, I = 63.7; hkl 3 1 -1, d = 3.709 Å, 23.99 deg, I = 100.0; hkl 1 1 -2, d = 3.284 Å, 27.16 deg, I = 55.8; hkl 4 0 -4, d = 2.615 Å, 34.29 deg, I = 59.0; hkl 7 1 1, d = 2.509 Å, 35.78 deg, I = 73.8; hkl 9 1 -3, d = 2.202 Å, 40.98 deg, I = 91.3; hkl 0 2 0, d = 2.112 Å, 42.81 deg, I = 80.1


Simulated X-ray diffraction stick pattern of PrDyZn2 for Cu Kα X-rays, from a GGA-PBE-relaxed structure.

Structural model:
Cell lengths 7.2868, 7.2868, 7.2868 Å; angles 90.00, 90.00, 90.00 degrees
Space group Fm-3m (No. 225)
Asymmetric unit:
Pr 0.0000 0.0000 0.0000
Dy 0.0000 0.0000 0.5000
Zn 0.2500 0.2500 0.2500

Largest 10 diffraction maxima, low angle first, 2θ = 10–90°:
hkl 2 0 0, d = 3.643 Å, 24.43 deg, I = 15.7; hkl 2 2 0, d = 2.576 Å, 34.82 deg, I = 100.0; hkl 2 2 2, d = 2.104 Å, 43.00 deg, I = 4.8; hkl 4 0 0, d = 1.822 Å, 50.07 deg, I = 17.7; hkl 4 2 0, d = 1.629 Å, 56.48 deg, I = 6.7; hkl 4 2 2, d = 1.487 Å, 62.44 deg, I = 35.9; hkl 4 4 0, d = 1.288 Å, 73.52 deg, I = 11.0; hkl 6 0 0, d = 1.214 Å, 78.81 deg, I = 3.3; hkl 6 2 0, d = 1.152 Å, 84.00 deg, I = 15.5; hkl 6 2 2, d = 1.099 Å, 89.14 deg, I = 2.1